(1)
This entry pairs a crystal structure of BiS3O12 with its calculated XRD peak list. Radiation: Cu Kα X-rays. Structure: a crystal structure in Alexandria, relaxed with GGA-PBE.
Neutral-atom scattering factors, no anomalous dispersion.

Cell and atoms:
a b c (Å): 8.6018 8.6018 25.4026
angles (deg): 90.00 90.00 120.00
Space group R3c (No. 161, hexagonal axes)
Asymmetric unit:
1 Bi 0.0000 0.0000 0.0000 [6 per cell]
2 S 0.0353 0.3375 0.0566 [18 per cell]
3 O 0.1388 0.3500 0.0077 [18 per cell]
4 O 0.1615 0.4158 0.1014 [18 per cell]
5 O 0.1640 0.3987 0.3819 [18 per cell]
6 O 0.1934 0.4379 0.7330 [18 per cell]

Top 12 peaks for 2θ from 10° to 90°, low angle first:
2theta	d (Å)	I (rel.)	index
13.8	6.426	100	0 1 2
18.4	4.833	37	1 0 4
23.2	3.835	19	1 1 3
24.9	3.574	13	2 0 2
27.8	3.213	19	0 2 4
29.6	3.017	32	1 1 6
32.6	2.749	18	1 2 2
34.9	2.574	16	2 1 4
36.2	2.483	11	3 0 0
42.9	2.107	17	1 2 8
44.4	2.039	12	3 1 2
47.4	1.917	10	2 2 6


(2)
This entry pairs a crystal structure of BiSO5 with its calculated XRD peak list. Radiation: Cu Kα X-rays. Structure: a crystal structure in Alexandria, relaxed with GGA-PBE.
Neutral-atom scattering factors, no anomalous dispersion.

Cell and atoms:
a b c (Å): 7.048 7.048 4.207
angles (deg): 90.00 90.00 90.00
Space group P4/nmm (No. 129, origin choice 2)
Asymmetric unit:
1 Bi 0.250 0.250 0.173 [2 per cell]
2 S 0.250 0.750 0.000 [2 per cell]
3 O 0.080 0.750 0.789 [8 per cell]
4 O 0.250 0.250 0.672 [2 per cell]

Top 12 peaks for 2θ from 10° to 90°, low angle first:
2theta	d (Å)	I (rel.)	index
17.8	4.984	68	1 1 0
21.1	4.207	20	0 0 1
24.6	3.612	95	1 0 1
25.3	3.524	100	2 0 0
33.2	2.701	21	2 0 1
35.6	2.522	40	2 1 1
36.0	2.492	26	2 2 0
40.5	2.229	33	3 1 0
44.2	2.051	32	3 0 1
45.0	2.015	21	1 0 2
51.6	1.773	26	3 2 1
52.3	1.750	21	2 1 2


(3)
This entry pairs a crystal structure of Bi14SO24 with its calculated XRD peak list. Radiation: Cu Kα X-rays. Structure: a crystal structure in Alexandria, relaxed with GGA-PBE.
Neutral-atom scattering factors, no anomalous dispersion.

Cell and atoms:
a b c (Å): 12.471 17.247 8.812
angles (deg): 90.00 134.88 90.00
Space group Cm (No. 8)
Asymmetric unit:
1 Bi 0.000 0.000 0.000 [2 per cell]
2 Bi 0.016 0.332 0.962 [4 per cell]
3 Bi 0.106 0.167 0.362 [4 per cell]
4 Bi 0.159 0.500 0.422 [2 per cell]
5 Bi 0.214 0.340 0.762 [4 per cell]
6 Bi 0.265 0.500 0.104 [2 per cell]
7 Bi 0.327 0.169 0.177 [4 per cell]
8 Bi 0.418 0.330 0.585 [4 per cell]
9 Bi 0.425 0.000 0.534 [2 per cell]
10 S 0.252 0.000 0.779 [2 per cell]
11 O 0.034 0.420 0.459 [4 per cell]
12 O 0.089 0.421 0.824 [4 per cell]
13 O 0.136 0.253 0.938 [4 per cell]
14 O 0.179 0.071 0.768 [4 per cell]
15 O 0.217 0.118 0.270 [4 per cell]
16 O 0.219 0.381 0.271 [4 per cell]
17 O 0.237 0.000 0.593 [2 per cell]
18 O 0.291 0.253 0.601 [4 per cell]
19 O 0.341 0.421 0.712 [4 per cell]
20 O 0.396 0.421 0.073 [4 per cell]
21 O 0.418 0.000 0.984 [2 per cell]
22 O 0.465 0.253 0.098 [4 per cell]
23 O 0.470 0.246 0.447 [4 per cell]

Top 12 peaks for 2θ from 10° to 90°, low angle first:
2theta	d (Å)	I (rel.)	index
11.3	7.856	9	1 1 0
27.4	3.254	100	1 3 1
31.1	2.874	16	0 6 0
32.1	2.791	25	2 0 -3
45.3	2.002	28	2 6 -3
45.9	1.976	6	2 0 2
46.1	1.970	6	6 0 -4
53.1	1.724	16	1 9 1
54.4	1.688	18	5 3 0
54.5	1.685	6	5 3 -5
72.8	1.299	8	5 9 0
74.2	1.278	5	2 12 -3


(4)
This entry pairs a crystal structure of Bi2S6O21 with its calculated XRD peak list. Radiation: Cu Kα X-rays. Structure: a crystal structure in Alexandria, relaxed with GGA-PBE.
Neutral-atom scattering factors, no anomalous dispersion.

Cell and atoms:
a b c (Å): 6.699 10.150 12.465
angles (deg): 90.74 96.43 93.02
Space group P-1 (No. 2)
Asymmetric unit:
1 Bi 0.055 0.084 0.276 [2 per cell]
2 Bi 0.340 0.418 0.715 [2 per cell]
3 S 0.069 0.804 0.452 [2 per cell]
4 S 0.136 0.438 0.239 [2 per cell]
5 S 0.191 0.167 0.911 [2 per cell]
6 S 0.206 0.668 0.901 [2 per cell]
7 S 0.448 0.067 0.761 [2 per cell]
8 S 0.456 0.701 0.534 [2 per cell]
9 O 0.012 0.515 0.693 [2 per cell]
10 O 0.016 0.090 0.854 [2 per cell]
11 O 0.021 0.420 0.118 [2 per cell]
12 O 0.024 0.800 0.564 [2 per cell]
13 O 0.088 0.254 0.626 [2 per cell]
14 O 0.145 0.935 0.421 [2 per cell]
15 O 0.177 0.785 0.833 [2 per cell]
16 O 0.205 0.163 0.026 [2 per cell]
17 O 0.208 0.309 0.271 [2 per cell]
18 O 0.220 0.298 0.865 [2 per cell]
19 O 0.232 0.691 0.014 [2 per cell]
20 O 0.248 0.706 0.444 [2 per cell]
21 O 0.268 0.005 0.697 [2 per cell]
22 O 0.299 0.536 0.226 [2 per cell]
23 O 0.347 0.580 0.859 [2 per cell]
24 O 0.384 0.628 0.624 [2 per cell]
25 O 0.385 0.018 0.224 [2 per cell]
26 O 0.391 0.083 0.885 [2 per cell]
27 O 0.421 0.376 0.530 [2 per cell]
28 O 0.472 0.165 0.440 [2 per cell]
29 O 0.499 0.801 0.275 [2 per cell]

Top 12 peaks for 2θ from 10° to 90°, low angle first:
2theta	d (Å)	I (rel.)	index
14.3	6.189	100	0 0 2
15.5	5.702	60	1 -1 0
17.2	5.166	21	1 1 -1
18.5	4.792	74	1 1 1
20.2	4.387	48	-1 1 2
22.5	3.958	79	0 2 -2
25.5	3.490	21	-1 1 3
28.1	3.171	30	0 2 3
28.6	3.123	35	2 0 1
30.7	2.911	27	1 3 -1
32.7	2.740	20	2 -1 2
36.3	2.476	27	0 0 5


(5)
This entry pairs a crystal structure of Bi2S2O with its calculated XRD peak list. Radiation: Cu Kα X-rays. Structure: a crystal structure in Alexandria, relaxed with GGA-PBE.
Neutral-atom scattering factors, no anomalous dispersion.

Cell and atoms:
a b c (Å): 3.938 15.384 7.565
angles (deg): 90.00 90.00 90.00
Space group Cmc2_1 (No. 36)
Asymmetric unit:
1 Bi 0.000 0.054 0.000 [4 per cell]
2 Bi 0.000 0.328 0.138 [4 per cell]
3 S 0.000 0.300 0.500 [4 per cell]
4 S 0.000 0.452 0.863 [4 per cell]
5 O 0.000 0.098 0.714 [4 per cell]

Top 12 peaks for 2θ from 10° to 90°, low angle first:
2theta	d (Å)	I (rel.)	index
16.4	5.394	45	0 2 1
23.5	3.783	36	0 0 2
26.0	3.428	84	0 4 1
26.2	3.403	100	1 1 1
28.6	3.123	68	1 3 0
31.0	2.887	46	1 3 1
33.4	2.686	37	1 1 2
37.1	2.426	25	1 5 0
37.3	2.408	41	1 3 2
37.5	2.396	36	0 2 3
49.0	1.860	32	1 7 1
52.4	1.748	38	1 5 3


(6)
This entry pairs a crystal structure of Bi2S3O12 with its calculated XRD peak list. Radiation: Cu Kα X-rays. Structure: a crystal structure in Alexandria, relaxed with GGA-PBE.
Neutral-atom scattering factors, no anomalous dispersion.

Cell and atoms:
a b c (Å): 17.574 6.874 8.541
angles (deg): 90.00 102.17 90.00
Space group C2/c (No. 15)
Asymmetric unit:
1 Bi 0.150 0.110 0.058 [8 per cell]
2 S 0.000 0.059 0.750 [4 per cell]
3 S 0.188 0.401 0.692 [8 per cell]
4 O 0.023 0.181 0.896 [8 per cell]
5 O 0.069 0.067 0.241 [8 per cell]
6 O 0.141 0.419 0.161 [8 per cell]
7 O 0.150 0.245 0.586 [8 per cell]
8 O 0.199 0.347 0.867 [8 per cell]
9 O 0.229 0.065 0.329 [8 per cell]

Top 12 peaks for 2θ from 10° to 90°, low angle first:
2theta	d (Å)	I (rel.)	index
10.3	8.590	55	2 0 0
13.9	6.382	100	1 1 0
16.8	5.273	38	1 1 -1
18.1	4.889	42	1 1 1
20.7	4.295	35	4 0 0
25.6	3.478	41	2 0 2
26.5	3.369	56	4 0 -2
29.2	3.062	88	2 2 -1
31.2	2.863	29	6 0 0
31.8	2.810	42	3 1 2
41.8	2.161	30	6 0 2
50.3	1.814	32	5 3 1


(7)
This entry pairs a crystal structure of Bi2S2O with its calculated XRD peak list. Radiation: Cu Kα X-rays. Structure: a crystal structure in Alexandria, relaxed with GGA-PBE.
Neutral-atom scattering factors, no anomalous dispersion.

Cell and atoms:
a b c (Å): 3.978 3.978 14.212
angles (deg): 90.00 90.00 90.00
Space group P4/nmm (No. 129, origin choice 2)
Asymmetric unit:
1 Bi 0.250 0.250 0.089 [2 per cell]
2 Bi 0.250 0.250 0.634 [2 per cell]
3 S 0.250 0.250 0.395 [2 per cell]
4 S 0.250 0.250 0.813 [2 per cell]
5 O 0.250 0.750 0.000 [2 per cell]

Top 12 peaks for 2θ from 10° to 90°, low angle first:
2theta	d (Å)	I (rel.)	index
25.1	3.553	28	0 0 4
25.7	3.471	100	1 0 2
31.8	2.813	57	1 1 0
38.9	2.313	21	1 0 5
40.9	2.205	38	1 1 4
44.5	2.035	12	1 0 6
45.6	1.989	24	2 0 0
52.7	1.736	16	2 0 4
53.1	1.726	30	2 1 2
55.8	1.646	14	1 1 7
65.7	1.422	16	2 0 7
81.5	1.181	11	2 1 9


- Number 3 is which compound?
  Bi14SO24


- Number 2 is which compound?
  BiSO5